For Zr2Ta4P3N3, a structure optimized by DFT (PBE) gives the simulated powder diffraction line list in this record (Cu Kα).
Intensities are scaled so that the largest is 100.

Largest 8 diffraction maxima, by angle, 2θ from 15° to 90°:
- 15.15°, I 16
- 30.57°, I 14
- 31.17°, I 29
- 32.12°, I 34
- 38.97°, I 100
- 44.22°, I 12
- 55.43°, I 19
- 64.53°, I 13

Crystal structure
a = 9.928 Å, b = 5.746 Å, c = 12.155 Å
α = 90.00°, β = 105.76°, γ = 90.00°
Space group C2/c (No. 15)
Inequivalent atoms, fractional coordinates:
Zr1 0.049 0.084 0.394 [8 per cell]
Ta1 0.116 0.422 0.596 [8 per cell]
Ta2 0.216 0.414 0.905 [8 per cell]
P1 0.000 0.436 0.250 [4 per cell]
P2 0.176 0.094 0.750 [8 per cell]
N1 0.082 0.247 0.000 [8 per cell]
N2 0.250 0.250 0.500 [4 per cell]